Theoretical powder diffraction line list of FeSiHgBiPt for Cu Kα, 1.54184 Å, from a crystal structure in Alexandria, relaxed with PBE.

Peak list (10 most intense, 10 to 90 degrees two-theta, sorted by position)
(hkl)  2theta  I/Imax
1 0 1  29.44  36.6
1 0 -2  31.35  40.8
1 1 -1  31.98  100.0
0 0 2  34.15  22.8
2 0 0  36.25  35.4
2 0 -2  38.31  36.6
1 1 1  39.38  28.1
0 1 2  43.14  52.6
2 1 0  44.89  25.8
0 2 0  52.54  20.3

Cell and atoms:
a b c (Å): 5.4398 3.4835 5.7638
angles (deg): 90.00 114.34 90.00
Space group Pm (No. 6)
Inequivalent atoms, fractional coordinates:
Fe 0.0000 0.0000 0.0000 [1 per cell]
Si 0.6771 0.5000 0.8217 [1 per cell]
Hg 0.3873 0.5000 0.3263 [1 per cell]
Bi 0.9794 0.0000 0.5049 [1 per cell]
Pt 0.4783 0.0000 0.9674 [1 per cell]

---

Theoretical powder diffraction line list of PmNd2Tm for Cu Kα, 1.54184 Å, from a crystal structure in Alexandria, relaxed with PBE.

Peak list (10 most intense, 10 to 90 degrees two-theta, sorted by position)
(hkl)  2theta  I/Imax
1 0 4  30.17  100.0
0 0 12  30.37  32.5
0 1 8  35.04  67.1
1 1 0  50.26  24.3
1 0 16  50.53  23.6
0 2 4  59.75  14.4
1 1 12  59.87  28.5
0 1 20  60.10  13.9
2 0 8  62.74  12.4
2 1 4  81.78  11.8

Cell and atoms:
a b c (Å): 3.6304 3.6304 35.3122
angles (deg): 90.00 90.00 120.00
Space group R-3m (No. 166, hexagonal axes)
Inequivalent atoms, fractional coordinates:
Pm 0.0000 0.0000 0.0000 [3 per cell]
Nd 0.0000 0.0000 0.2484 [6 per cell]
Tm 0.0000 0.0000 0.5000 [3 per cell]

---

Theoretical powder diffraction line list of Nd6Ga3Co for Cu Kα, 1.54184 Å, from a crystal structure in Alexandria, relaxed with PBE.

Peak list (10 most intense, 10 to 90 degrees two-theta, sorted by position)
(hkl)  2theta  I/Imax
0 1 2  15.39  20.2
2 1 1  23.58  27.6
1 0 4  27.17  57.5
1 3 1  31.76  100.0
3 1 2  33.74  45.4
2 1 4  34.58  51.4
2 2 3  35.75  95.1
1 2 5  39.85  33.1
5 1 1  49.35  21.8
5 3 2  64.28  16.5

Cell and atoms:
a b c (Å): 11.9795 11.9795 13.8363
angles (deg): 90.00 90.00 120.00
Space group R-3c (No. 167, hexagonal axes)
Inequivalent atoms, fractional coordinates:
Nd 0.0391 0.2006 0.3863 [36 per cell]
Ga 0.0000 0.3983 0.2500 [18 per cell]
Co 0.0000 0.0000 0.0000 [6 per cell]

---

Theoretical powder diffraction line list of Mn4P5 for Cu Kα, 1.54184 Å, from a crystal structure in Alexandria, relaxed with PBE.

Peak list (10 most intense, 10 to 90 degrees two-theta, sorted by position)
(hkl)  2theta  I/Imax
2 0 0  27.49  10.7
1 1 1  30.10  21.8
0 0 2  36.93  10.4
2 1 1  41.22  48.5
3 0 0  41.76  100.0
1 1 2  44.38  95.7
3 1 1  54.35  17.6
2 2 2  62.57  24.0
4 1 2  78.08  17.9
4 2 1  80.83  11.7

Cell and atoms:
a b c (Å): 7.4926 7.4926 4.8680
angles (deg): 90.00 90.00 120.00
Space group P6_3/mcm (No. 193)
Inequivalent atoms, fractional coordinates:
Mn 0.0000 0.0000 0.0000 [2 per cell]
Mn 0.0000 0.3770 0.2500 [6 per cell]
P 0.0000 0.2759 0.7500 [6 per cell]
P 0.3333 0.6667 0.0000 [4 per cell]

---

Theoretical powder diffraction line list of TaNb14Sn for Cu Kα, 1.54184 Å, from a crystal structure in Alexandria, relaxed with PBE.

Peak list (10 most intense, 10 to 90 degrees two-theta, sorted by position)
(hkl)  2theta  I/Imax
1 0 0  13.29  1.5
1 1 0  18.85  1.3
1 1 1  23.13  1.0
2 0 1  30.00  1.0
1 1 2  32.93  0.7
2 2 0  38.22  100.0
0 0 3  40.63  0.6
4 0 0  55.16  16.9
4 2 2  69.09  33.7
4 4 0  81.80  10.5

Cell and atoms:
a b c (Å): 6.6579 6.6579 6.6659
angles (deg): 90.00 90.00 90.00
Space group P4/mmm (No. 123)
Inequivalent atoms, fractional coordinates:
Ta 0.0000 0.0000 0.0000 [1 per cell]
Nb 0.0000 0.0000 0.5000 [1 per cell]
Nb 0.0000 0.5000 0.0000 [2 per cell]
Nb 0.0000 0.5000 0.5000 [2 per cell]
Nb 0.2453 0.2453 0.2555 [8 per cell]
Nb 0.5000 0.5000 0.5000 [1 per cell]
Sn 0.5000 0.5000 0.0000 [1 per cell]

---

Theoretical powder diffraction line list of Ca3PmAu3 for Cu Kα, 1.54184 Å, from a crystal structure in Alexandria, relaxed with PBE.

Peak list (10 most intense, 10 to 90 degrees two-theta, sorted by position)
(hkl)  2theta  I/Imax
1 1 0  12.12  43.0
0 2 0  16.67  17.1
2 2 0  24.39  25.4
0 4 0  33.71  25.8
2 2 2  34.78  100.0
4 0 0  35.77  23.5
0 0 4  50.00  25.8
2 6 2  60.98  18.2
6 2 2  63.64  17.9
4 4 4  73.42  10.5

Cell and atoms:
a b c (Å): 10.0402 10.6353 7.2907
angles (deg): 90.00 90.00 90.00
Space group Cmmm (No. 65)
Inequivalent atoms, fractional coordinates:
Ca 0.0000 0.2413 0.0000 [4 per cell]
Ca 0.2312 0.5000 0.5000 [4 per cell]
Ca 0.2470 0.5000 0.0000 [4 per cell]
Pm 0.0000 0.2232 0.5000 [4 per cell]
Au 0.0000 0.0000 0.2442 [4 per cell]
Au 0.2500 0.2500 0.2557 [8 per cell]